[1]
Simulated X-ray powder pattern of SnPbS2 for Cu Kα (λ = 1.5418 Å), from a structure optimized by DFT (GGA-PBE).
No peak broadening, texture or thermal motion is included.

The 6 most intense peaks (2θ from 10° to 90°), low angle first:
2θ/deg	I (rel.)
25.2	65
26.5	92
29.7	51
30.6	83
30.7	100
37.8	55

Crystal structure
a = 4.100 Å, b = 4.425 Å, c = 11.702 Å
α = 90.00°, β = 90.00°, γ = 90.00°
Atoms (fractional coordinates):
Sn (0.000, 0.130, 0.000)
Sn (0.000, 0.870, 0.500)
Pb (0.500, 0.360, 0.245)
Pb (0.500, 0.640, 0.745)
S (0.000, 0.214, 0.781)
S (0.000, 0.786, 0.281)
S (0.500, 0.258, 0.482)
S (0.500, 0.742, 0.982)

[2]
Simulated X-ray powder pattern of SnPb4S5 for Cu Kα (λ = 1.5418 Å), from a structure optimized by DFT (GGA-PBE).
No peak broadening, texture or thermal motion is included.

The 6 most intense peaks (2θ from 10° to 90°), low angle first:
2θ/deg	I (rel.)
25.8	100
29.7	38
30.0	73
42.7	56
50.8	35
53.1	30

Crystal structure
a = 15.335 Å, b = 15.335 Å, c = 15.335 Å
α = 164.23°, β = 164.23°, γ = 22.38°
Atoms (fractional coordinates):
Sn (0.000, 0.000, 0.000)
Pb (0.200, 0.200, 0.000)
Pb (0.400, 0.400, 0.000)
Pb (0.600, 0.600, 0.000)
Pb (0.800, 0.800, 0.000)
S (0.099, 0.099, 0.000)
S (0.300, 0.300, 0.000)
S (0.500, 0.500, 0.000)
S (0.700, 0.700, 0.000)
S (0.901, 0.901, 0.000)

[3]
Simulated X-ray powder pattern of SnPbS2 for Cu Kα (λ = 1.5418 Å), from a structure optimized by DFT (GGA-PBE).
No peak broadening, texture or thermal motion is included.

The 6 most intense peaks (2θ from 10° to 90°), low angle first:
2θ/deg	I (rel.)
13.9	53
14.0	100
19.7	47
27.5	21
34.7	29
45.1	19

Crystal structure
a = 6.347 Å, b = 3.776 Å, c = 25.574 Å
α = 90.00°, β = 90.00°, γ = 90.00°
Atoms (fractional coordinates):
Sn (0.000, 0.077, 0.000)
Sn (0.000, 0.923, 0.500)
Pb (0.000, 0.082, 0.311)
Pb (0.000, 0.918, 0.811)
S (0.000, 0.418, 0.744)
S (0.000, 0.421, 0.563)
S (0.000, 0.579, 0.063)
S (0.000, 0.582, 0.244)

[4]
Simulated X-ray powder pattern of SnPbS2 for Cu Kα (λ = 1.5418 Å), from a structure optimized by DFT (GGA-PBE).
No peak broadening, texture or thermal motion is included.

The 6 most intense peaks (2θ from 10° to 90°), low angle first:
2θ/deg	I (rel.)
10.4	100
23.1	70
30.2	66
30.4	78
31.1	69
31.6	76

Crystal structure
a = 4.177 Å, b = 4.228 Å, c = 17.071 Å
α = 92.66°, β = 94.34°, γ = 90.06°
Atoms (fractional coordinates):
Sn (0.000, 0.000, 0.000)
Sn (0.102, 0.748, 0.343)
Pb (0.548, 0.504, 0.169)
Pb (0.655, 0.230, 0.515)
S (0.041, 0.035, 0.153)
S (0.152, 0.712, 0.497)
S (0.495, 0.510, 0.011)
S (0.609, 0.167, 0.357)

[5]
Simulated X-ray powder pattern of SnPbS3 for Cu Kα (λ = 1.5418 Å), from a structure optimized by DFT (GGA-PBE).
No peak broadening, texture or thermal motion is included.

The 6 most intense peaks (2θ from 10° to 90°), low angle first:
2θ/deg	I (rel.)
15.7	31
20.9	98
28.0	65
31.1	100
39.0	44
45.7	60

Crystal structure
a = 9.066 Å, b = 3.855 Å, c = 14.433 Å
α = 90.00°, β = 90.00°, γ = 90.00°
Atoms (fractional coordinates):
Sn (0.164, 0.250, 0.051)
Sn (0.336, 0.750, 0.551)
Sn (0.664, 0.250, 0.449)
Sn (0.836, 0.750, 0.949)
Pb (0.011, 0.250, 0.669)
Pb (0.489, 0.750, 0.169)
Pb (0.511, 0.250, 0.831)
Pb (0.989, 0.750, 0.331)
S (0.018, 0.250, 0.897)
S (0.165, 0.250, 0.495)
S (0.220, 0.750, 0.710)
S (0.280, 0.250, 0.210)
S (0.335, 0.750, 0.995)
S (0.482, 0.750, 0.397)
S (0.518, 0.250, 0.603)
S (0.665, 0.250, 0.005)
S (0.720, 0.750, 0.790)
S (0.780, 0.250, 0.290)
S (0.835, 0.750, 0.505)
S (0.982, 0.750, 0.103)

[6]
Simulated X-ray powder pattern of SnTePb4S4 for Cu Kα (λ = 1.5418 Å), from a structure optimized by DFT (GGA-PBE).
No peak broadening, texture or thermal motion is included.

The 6 most intense peaks (2θ from 10° to 90°), low angle first:
2θ/deg	I (rel.)
25.3	46
29.4	100
41.9	40
42.2	35
52.0	21
68.9	18

Crystal structure
a = 17.583 Å, b = 17.583 Å, c = 17.583 Å
α = 14.10°, β = 14.10°, γ = 14.10°
Atoms (fractional coordinates):
Sn (0.000, 0.000, 0.000)
Te (0.703, 0.703, 0.703)
Pb (0.205, 0.205, 0.205)
Pb (0.409, 0.409, 0.409)
Pb (0.604, 0.604, 0.604)
Pb (0.807, 0.807, 0.807)
S (0.107, 0.107, 0.107)
S (0.305, 0.305, 0.305)
S (0.506, 0.506, 0.506)
S (0.905, 0.905, 0.905)